# 1
Structure and theoretical powder XRD pattern of NaPuBrF6 (the GGA-PBE geometry in Alexandria; Cu Kα (λ = 1.5418 Å)).
Neutral-atom scattering factors, no anomalous dispersion.

Structure:
Cell: 5.339 5.871 6.337 Å, 114.08 103.96 91.16°
Space group P1 (No. 1)
Inequivalent atoms, fractional coordinates:
Na: 0.000 0.000 0.000 [1 per cell]
Pu: 0.428 0.379 0.724 [1 per cell]
Br: 0.770 0.741 0.278 [1 per cell]
F: 0.149 0.323 0.407 [1 per cell]
F: 0.210 0.640 0.912 [1 per cell]
F: 0.219 0.105 0.763 [1 per cell]
F: 0.593 0.111 0.476 [1 per cell]
F: 0.644 0.669 0.715 [1 per cell]
F: 0.750 0.305 0.962 [1 per cell]

Most intense lines, 10 to 80 degrees two-theta, low angle first:
- d 5.565, I = 62.9, hkl 0 0 1
- d 5.068, I = 100.0, hkl 0 1 -1
- d 4.424, I = 66.1, hkl 1 0 -1
- d 3.966, I = 82.6, hkl 1 -1 0
- d 3.847, I = 81.1, hkl 1 1 -1
- d 3.346, I = 59.5, hkl 1 0 1

***

# 2
Structure and theoretical powder XRD pattern of Nb3NiTe6 (the GGA-PBE geometry in Alexandria; Cu Kα (λ = 1.5418 Å)).
Neutral-atom scattering factors, no anomalous dispersion.

Structure:
Cell: 11.278 13.283 6.549 Å, 90.00 90.00 90.00°
Space group Cmc2_1 (No. 36)
Inequivalent atoms, fractional coordinates:
Nb: 0.000 0.101 0.000 [4 per cell]
Nb: 0.154 0.402 0.107 [8 per cell]
Ni: 0.000 0.251 0.690 [4 per cell]
Te: 0.000 0.268 0.305 [4 per cell]
Te: 0.000 0.443 0.753 [4 per cell]
Te: 0.171 0.032 0.303 [8 per cell]
Te: 0.188 0.218 0.859 [8 per cell]

Most intense lines, 10 to 80 degrees two-theta, low angle first:
- d 2.962, I = 41.7, hkl 0 4 1
- d 2.625, I = 100.0, hkl 3 3 1
- d 2.427, I = 69.6, hkl 3 1 2
- d 2.332, I = 37.0, hkl 0 4 2
- d 2.170, I = 32.5, hkl 3 5 0
- d 1.880, I = 25.0, hkl 6 0 0

***

# 3
Structure and theoretical powder XRD pattern of Na3SbAu (the GGA-PBE geometry in Alexandria; Cu Kα (λ = 1.5418 Å)).
Neutral-atom scattering factors, no anomalous dispersion.

Structure:
Cell: 5.746 8.541 11.565 Å, 90.00 95.27 90.00°
Space group P2_1/c (No. 14)
Inequivalent atoms, fractional coordinates:
Na: 0.159 0.232 0.413 [4 per cell]
Na: 0.170 0.062 0.141 [4 per cell]
Na: 0.336 0.534 0.159 [4 per cell]
Sb: 0.148 0.643 0.849 [4 per cell]
Au: 0.374 0.617 0.450 [4 per cell]

Most intense lines, 10 to 80 degrees two-theta, low angle first:
- d 6.860, I = 42.7, hkl 0 1 1
- d 4.765, I = 100.0, hkl 0 1 2
- d 4.281, I = 29.4, hkl 1 1 1
- d 4.259, I = 68.1, hkl 1 0 -2
- d 2.551, I = 38.3, hkl 0 3 2
- d 2.488, I = 45.8, hkl 1 2 3